1.
Structure and theoretical X-ray diffraction stick pattern of PrMg4Au4 (a cell relaxed with GGA-PBE; CuKα).
Neutral-atom scattering factors, no anomalous dispersion.

Atomic structure:
abc: 6.929 6.929 8.435
angles: 90.00 90.00 90.00
Space group P4_2/nmc (No. 137, origin choice 2)
One atom of each set of equivalent atoms:
Pr: 0.250 0.750 0.250 [2 per cell]
Mg: 0.001 0.250 0.132 [8 per cell]
Au: 0.040 0.250 0.452 [8 per cell]

Main lines, sorted by position (2θ = 10–90°):
d_spacing, Rel. int., index
4.217, 24, 0 0 2
3.203, 100, 2 0 1
2.909, 30, 2 1 1
2.450, 21, 2 2 0
2.183, 21, 2 0 3
2.119, 48, 2 2 2

***

2.
Structure and theoretical X-ray diffraction stick pattern of PrMg3Au (a cell relaxed with GGA-PBE; CuKα).
Neutral-atom scattering factors, no anomalous dispersion.

Atomic structure:
abc: 5.061 7.156 6.606
angles: 90.00 90.14 90.00
Space group P2_1/m (No. 11)
One atom of each set of equivalent atoms:
Pr: 0.250 0.250 0.242 [2 per cell]
Mg: 0.249 0.052 0.717 [4 per cell]
Mg: 0.251 0.750 0.069 [2 per cell]
Au: 0.250 0.750 0.464 [2 per cell]

Main lines, sorted by position (2θ = 10–90°):
d_spacing, Rel. int., index
6.606, 56, 0 0 1
3.578, 50, 0 2 0
3.503, 53, 1 1 -1
2.672, 50, 1 2 1
2.580, 100, 1 1 -2
2.531, 34, 2 0 0

***

3.
Structure and theoretical X-ray diffraction stick pattern of PrMg3Au2 (a cell relaxed with GGA-PBE; CuKα).
Neutral-atom scattering factors, no anomalous dispersion.

Atomic structure:
abc: 18.308 4.308 10.893
angles: 90.00 107.26 90.00
Space group C2/m (No. 12)
One atom of each set of equivalent atoms:
Pr: 0.000 0.000 0.000 [2 per cell]
Pr: 0.157 0.000 0.707 [4 per cell]
Mg: 0.000 0.500 0.500 [2 per cell]
Mg: 0.043 0.000 0.342 [4 per cell]
Mg: 0.124 0.500 0.211 [4 per cell]
Mg: 0.179 0.500 0.974 [4 per cell]
Mg: 0.213 0.000 0.400 [4 per cell]
Au: 0.036 0.500 0.794 [4 per cell]
Au: 0.139 0.500 0.473 [4 per cell]
Au: 0.204 0.000 0.144 [4 per cell]

Main lines, sorted by position (2θ = 10–90°):
d_spacing, Rel. int., index
3.978, 68, 4 0 -2
3.660, 62, 4 0 1
3.151, 100, 3 1 -2
2.789, 52, 5 1 -1
2.768, 53, 1 1 -3
2.674, 59, 3 1 2

***

4.
Structure and theoretical X-ray diffraction stick pattern of Pr2MgScAu6 (a cell relaxed with GGA-PBE; CuKα).
Neutral-atom scattering factors, no anomalous dispersion.

Atomic structure:
abc: 12.961 4.882 8.311
angles: 90.00 117.07 90.00
Space group C2/m (No. 12)
One atom of each set of equivalent atoms:
Pr: 0.228 0.000 0.289 [4 per cell]
Mg: 0.000 0.000 0.500 [2 per cell]
Sc: 0.000 0.500 0.000 [2 per cell]
Au: 0.039 0.000 0.856 [4 per cell]
Au: 0.049 0.500 0.368 [4 per cell]
Au: 0.226 0.500 0.072 [4 per cell]

Main lines, sorted by position (2θ = 10–90°):
d_spacing, Rel. int., index
3.144, 33, 1 1 -2
2.885, 41, 4 0 0
2.502, 56, 3 1 1
2.441, 63, 0 2 0
2.345, 100, 1 1 -3
2.067, 31, 5 1 -3

***

5.
Structure and theoretical X-ray diffraction stick pattern of PrMg2Zn2Au2 (a cell relaxed with GGA-PBE; CuKα).
Neutral-atom scattering factors, no anomalous dispersion.

Atomic structure:
abc: 4.5394 4.5394 24.6062
angles: 90.00 90.00 120.00
Space group R-3m (No. 166, hexagonal axes)
One atom of each set of equivalent atoms:
Pr: 0.0000 0.0000 0.0000 [3 per cell]
Mg: 0.0000 0.0000 0.1339 [6 per cell]
Zn: 0.0000 0.0000 0.2554 [6 per cell]
Au: 0.0000 0.0000 0.4201 [6 per cell]

Main lines, sorted by position (2θ = 10–90°):
d_spacing, Rel. int., index
4.101, 40, 0 0 6
3.072, 72, 0 1 5
2.620, 98, 1 0 7
2.270, 100, 1 1 0
1.986, 35, 1 1 6
1.522, 40, 1 1 12

***

6.
Structure and theoretical X-ray diffraction stick pattern of MgPtAu3 (a cell relaxed with GGA-PBE; CuKα).
Neutral-atom scattering factors, no anomalous dispersion.

Atomic structure:
abc: 6.215 5.568 11.470
angles: 90.00 105.86 90.00
Space group P2_1/c (No. 14)
One atom of each set of equivalent atoms:
Mg: 0.232 0.097 0.249 [4 per cell]
Pt: 0.498 0.565 0.617 [4 per cell]
Au: 0.179 0.747 0.913 [4 per cell]
Au: 0.187 0.246 0.486 [4 per cell]
Au: 0.213 0.597 0.176 [4 per cell]

Main lines, sorted by position (2θ = 10–90°):
d_spacing, Rel. int., index
4.076, 100, 1 1 -1
3.021, 56, 1 1 2
2.279, 50, 1 0 4
2.201, 59, 1 2 2
2.110, 51, 1 1 4
2.038, 60, 2 2 -2

***

7.
Structure and theoretical X-ray diffraction stick pattern of Mg5PtAu2 (a cell relaxed with GGA-PBE; CuKα).
Neutral-atom scattering factors, no anomalous dispersion.

Atomic structure:
abc: 5.827 11.213 4.515
angles: 90.00 90.00 90.00
Space group Pbam (No. 55)
One atom of each set of equivalent atoms:
Mg: 0.000 0.000 0.000 [2 per cell]
Mg: 0.126 0.270 0.000 [4 per cell]
Mg: 0.158 0.604 0.500 [4 per cell]
Pt: 0.000 0.500 0.000 [2 per cell]
Au: 0.126 0.857 0.500 [4 per cell]

Main lines, sorted by position (2θ = 10–90°):
d_spacing, Rel. int., index
4.040, 43, 1 2 0
3.401, 100, 1 1 1
3.146, 62, 1 3 0
2.392, 58, 2 1 1
2.382, 84, 0 4 1
2.258, 42, 0 0 2

***

8.
Structure and theoretical X-ray diffraction stick pattern of Mg2Zn5Pt2Au3 (a cell relaxed with GGA-PBE; CuKα).
Neutral-atom scattering factors, no anomalous dispersion.

Atomic structure:
abc: 3.830 3.830 28.159
angles: 90.00 90.00 90.00
Space group I4/mmm (No. 139)
One atom of each set of equivalent atoms:
Mg: 0.000 0.000 0.223 [4 per cell]
Zn: 0.000 0.000 0.000 [2 per cell]
Zn: 0.000 0.500 0.074 [8 per cell]
Pt: 0.000 0.000 0.132 [4 per cell]
Au: 0.000 0.000 0.320 [4 per cell]
Au: 0.000 0.000 0.500 [2 per cell]

Main lines, sorted by position (2θ = 10–90°):
d_spacing, Rel. int., index
3.167, 86, 1 0 5
2.708, 51, 1 1 0
2.346, 100, 1 1 6
2.128, 69, 1 0 11
1.915, 55, 2 0 0
1.424, 39, 2 1 11

***

9.
Structure and theoretical X-ray diffraction stick pattern of PuMg2Au (a cell relaxed with GGA-PBE; CuKα).
Neutral-atom scattering factors, no anomalous dispersion.

Atomic structure:
abc: 3.166 3.166 8.714
angles: 90.00 90.00 90.00
Space group P4/mmm (No. 123)
One atom of each set of equivalent atoms:
Pu: 0.000 0.000 0.000 [1 per cell]
Mg: 0.500 0.500 0.299 [2 per cell]
Au: 0.000 0.000 0.500 [1 per cell]

Main lines, sorted by position (2θ = 10–90°):
d_spacing, Rel. int., index
4.357, 63, 0 0 2
3.166, 56, 1 0 0
2.561, 100, 1 0 2
2.239, 36, 1 1 0
1.991, 33, 1 1 2
1.347, 28, 2 1 2

***

10.
Structure and theoretical X-ray diffraction stick pattern of Pu5MgAu6 (a cell relaxed with GGA-PBE; CuKα).
Neutral-atom scattering factors, no anomalous dispersion.

Atomic structure:
abc: 15.719 7.347 4.993
angles: 90.00 107.50 90.00
Space group C2/m (No. 12)
One atom of each set of equivalent atoms:
Pu: 0.000 0.000 0.000 [2 per cell]
Pu: 0.157 0.000 0.661 [4 per cell]
Pu: 0.187 0.500 0.690 [4 per cell]
Mg: 0.000 0.500 0.000 [2 per cell]
Au: 0.000 0.289 0.500 [4 per cell]
Au: 0.154 0.273 0.160 [8 per cell]

Main lines, sorted by position (2θ = 10–90°):
d_spacing, Rel. int., index
2.558, 100, 2 2 1
2.534, 97, 4 2 -1
2.497, 95, 2 0 -2
1.480, 31, 2 4 -2
1.457, 30, 0 2 3
1.444, 28, 6 2 -3

***

11.
Structure and theoretical X-ray diffraction stick pattern of PuMg2Au3 (a cell relaxed with GGA-PBE; CuKα).
Neutral-atom scattering factors, no anomalous dispersion.

Atomic structure:
abc: 3.322 3.322 10.744
angles: 90.00 90.00 90.00
Space group P4/mmm (No. 123)
One atom of each set of equivalent atoms:
Pu: 0.000 0.000 0.000 [1 per cell]
Mg: 0.000 0.000 0.348 [2 per cell]
Au: 0.500 0.500 0.199 [2 per cell]
Au: 0.500 0.500 0.500 [1 per cell]

Main lines, sorted by position (2θ = 10–90°):
d_spacing, Rel. int., index
3.174, 24, 1 0 1
2.825, 26, 1 0 2
2.436, 100, 1 0 3
2.349, 54, 1 1 0
1.661, 19, 2 0 0
1.372, 34, 2 1 3

***

12.
Structure and theoretical X-ray diffraction stick pattern of Mg6RhAu2 (a cell relaxed with GGA-PBE; CuKα).
Neutral-atom scattering factors, no anomalous dispersion.

Atomic structure:
abc: 4.6759 4.6759 8.6793
angles: 90.00 90.00 120.00
Space group P-3m1 (No. 164)
One atom of each set of equivalent atoms:
Mg: 0.0000 0.0000 0.1990 [2 per cell]
Mg: 0.3333 0.6667 0.0601 [2 per cell]
Mg: 0.3333 0.6667 0.4139 [2 per cell]
Rh: 0.0000 0.0000 0.5000 [1 per cell]
Au: 0.3333 0.6667 0.7381 [2 per cell]

Main lines, sorted by position (2θ = 10–90°):
d_spacing, Rel. int., index
3.670, 100, 0 1 1
2.961, 33, 0 1 2
2.354, 70, 1 0 3
2.338, 68, 1 1 0
1.659, 24, 0 2 3
1.353, 24, 2 1 3

***

13.
Structure and theoretical X-ray diffraction stick pattern of MgSbAu (a cell relaxed with GGA-PBE; CuKα).
Neutral-atom scattering factors, no anomalous dispersion.

Atomic structure:
abc: 8.116 4.689 7.904
angles: 90.00 109.82 90.00
Space group Cm (No. 8)
One atom of each set of equivalent atoms:
Mg: 0.000 0.000 0.000 [2 per cell]
Mg: 0.085 0.500 0.754 [2 per cell]
Sb: 0.355 0.500 0.561 [2 per cell]
Sb: 0.409 0.000 0.228 [2 per cell]
Au: 0.206 0.500 0.120 [2 per cell]
Au: 0.232 0.000 0.695 [2 per cell]

Main lines, sorted by position (2θ = 10–90°):
d_spacing, Rel. int., index
3.815, 71, 1 1 -1
3.718, 53, 0 0 2
3.282, 43, 1 1 1
2.507, 44, 1 1 2
2.344, 100, 0 2 0
1.984, 39, 3 1 1